Structure and theoretical powder X-ray diffraction pattern of GaH3NF3 (a cell relaxed with GGA-PBE; copper Kα).
Peak positions follow from Bragg's law for the DFT cell and can differ from measured ones.

Peak list (8 most intense, 2θ = 10–90°, low angle first)
2θ = 18.39°, I = 443
2θ = 24.48°, I = 1000
2θ = 37.28°, I = 183
2θ = 46.25°, I = 231
2θ = 50.18°, I = 175
2θ = 52.76°, I = 111
2θ = 52.87°, I = 170
2θ = 60.84°, I = 129

Cell and atoms:
a = 5.584 Å, b = 5.558 Å, c = 5.558 Å
α = 59.55°, β = 90.00°, γ = 90.00°
Sites, in units of the cell vectors:
Ga (0.250, 0.250, 0.750)
Ga (0.750, 0.750, 0.250)
H (0.035, 0.486, 0.986)
H (0.288, 0.345, 0.149)
H (0.288, 0.649, 0.845)
H (0.712, 0.149, 0.345)
H (0.712, 0.845, 0.649)
H (0.965, 0.986, 0.486)
N (0.212, 0.454, 0.954)
N (0.788, 0.954, 0.454)
F (0.000, 0.484, 0.484)
F (0.000, 0.984, 0.984)
F (0.274, 0.056, 0.556)
F (0.500, 0.007, 0.007)
F (0.500, 0.507, 0.507)
F (0.726, 0.556, 0.056)

---

Structure and theoretical powder X-ray diffraction pattern of Nd2Bi (a cell relaxed with GGA-PBE; copper Kα).
Peak positions follow from Bragg's law for the DFT cell and can differ from measured ones.

Peak list (8 most intense, 2θ = 10–90°, low angle first)
2θ = 27.14°, I = 271
2θ = 28.89°, I = 809
2θ = 29.41°, I = 372
2θ = 31.19°, I = 306
2θ = 33.63°, I = 1000
2θ = 38.76°, I = 617
2θ = 49.39°, I = 358
2θ = 66.91°, I = 280

Cell and atoms:
a = 9.685 Å, b = 9.685 Å, c = 9.685 Å
α = 152.24°, β = 152.24°, γ = 39.66°
Sites, in units of the cell vectors:
Nd (0.000, 0.500, 0.500)
Nd (0.179, 0.179, 0.000)
Nd (0.500, 0.000, 0.500)
Nd (0.821, 0.821, 0.000)
Bi (0.361, 0.361, 0.000)
Bi (0.639, 0.639, 0.000)

---

Structure and theoretical powder X-ray diffraction pattern of Tl2Co3NiSe4 (a cell relaxed with GGA-PBE; copper Kα).
Peak positions follow from Bragg's law for the DFT cell and can differ from measured ones.

Peak list (8 most intense, 2θ = 10–90°, low angle first)
2θ = 23.98°, I = 158
2θ = 30.31°, I = 1000
2θ = 32.87°, I = 175
2θ = 35.44°, I = 399
2θ = 40.31°, I = 139
2θ = 47.17°, I = 276
2θ = 52.18°, I = 366
2θ = 57.10°, I = 334

Cell and atoms:
a = 7.391 Å, b = 7.391 Å, c = 5.449 Å
α = 90.00°, β = 90.00°, γ = 136.71°
Sites, in units of the cell vectors:
Tl (0.000, 0.500, 0.249)
Tl (0.500, 0.000, 0.751)
Co (0.000, 0.000, 0.000)
Co (0.500, 0.500, 0.000)
Co (0.500, 0.500, 0.500)
Ni (0.000, 0.000, 0.500)
Se (0.156, 0.353, 0.754)
Se (0.353, 0.156, 0.246)
Se (0.647, 0.844, 0.246)
Se (0.844, 0.647, 0.754)

---

Structure and theoretical powder X-ray diffraction pattern of Ba3NbN3 (a cell relaxed with GGA-PBE; copper Kα).
Peak positions follow from Bragg's law for the DFT cell and can differ from measured ones.

Peak list (8 most intense, 2θ = 10–90°, low angle first)
2θ = 24.52°, I = 266
2θ = 26.17°, I = 500
2θ = 28.96°, I = 1000
2θ = 30.61°, I = 419
2θ = 32.63°, I = 360
2θ = 45.35°, I = 275
2θ = 53.40°, I = 182
2θ = 55.43°, I = 179

Cell and atoms:
a = 8.383 Å, b = 8.383 Å, c = 5.840 Å
α = 90.00°, β = 90.00°, γ = 120.00°
Sites, in units of the cell vectors:
Ba (0.109, 0.362, 0.250)
Ba (0.253, 0.891, 0.250)
Ba (0.362, 0.253, 0.750)
Ba (0.638, 0.747, 0.250)
Ba (0.747, 0.109, 0.750)
Ba (0.891, 0.638, 0.750)
Nb (0.333, 0.667, 0.750)
Nb (0.667, 0.333, 0.250)
N (0.137, 0.408, 0.750)
N (0.272, 0.863, 0.750)
N (0.408, 0.272, 0.250)
N (0.592, 0.728, 0.750)
N (0.728, 0.137, 0.250)
N (0.863, 0.592, 0.250)

---

Structure and theoretical powder X-ray diffraction pattern of Nd3Si2S8Br (a cell relaxed with GGA-PBE; copper Kα).
Peak positions follow from Bragg's law for the DFT cell and can differ from measured ones.

Peak list (8 most intense, 2θ = 10–90°, low angle first)
2θ = 16.33°, I = 1000
2θ = 21.17°, I = 621
2θ = 22.93°, I = 631
2θ = 24.38°, I = 762
2θ = 26.16°, I = 494
2θ = 32.74°, I = 818
2θ = 34.75°, I = 540
2θ = 40.29°, I = 623

Cell and atoms:
a = 8.816 Å, b = 8.816 Å, c = 10.956 Å
α = 97.03°, β = 97.03°, γ = 52.18°
Sites, in units of the cell vectors:
Nd (0.112, 0.888, 0.750)
Nd (0.180, 0.426, 0.316)
Nd (0.426, 0.180, 0.816)
Nd (0.574, 0.820, 0.184)
Nd (0.820, 0.574, 0.684)
Nd (0.888, 0.112, 0.250)
Si (0.125, 0.194, 0.029)
Si (0.194, 0.125, 0.529)
Si (0.806, 0.875, 0.471)
Si (0.875, 0.806, 0.971)
S (0.054, 0.242, 0.838)
S (0.091, 0.776, 0.454)
S (0.104, 0.606, 0.855)
S (0.212, 0.354, 0.586)
S (0.224, 0.909, 0.046)
S (0.242, 0.054, 0.338)
S (0.354, 0.212, 0.086)
S (0.394, 0.896, 0.645)
S (0.606, 0.104, 0.355)
S (0.646, 0.788, 0.914)
S (0.758, 0.946, 0.662)
S (0.776, 0.091, 0.954)
S (0.788, 0.646, 0.414)
S (0.896, 0.394, 0.145)
S (0.909, 0.224, 0.546)
S (0.946, 0.758, 0.162)
Br (0.495, 0.505, 0.250)
Br (0.505, 0.495, 0.750)

---

Structure and theoretical powder X-ray diffraction pattern of Th2Fe7 (a cell relaxed with GGA-PBE; copper Kα).
Peak positions follow from Bragg's law for the DFT cell and can differ from measured ones.

Peak list (8 most intense, 2θ = 10–90°, low angle first)
2θ = 20.34°, I = 206
2θ = 32.36°, I = 880
2θ = 35.03°, I = 636
2θ = 40.84°, I = 325
2θ = 41.49°, I = 1000
2θ = 61.16°, I = 296
2θ = 67.25°, I = 232
2θ = 74.02°, I = 198

Cell and atoms:
a = 5.123 Å, b = 5.123 Å, c = 24.770 Å
α = 90.00°, β = 90.00°, γ = 120.00°
Sites, in units of the cell vectors:
Th (0.333, 0.667, 0.027)
Th (0.333, 0.667, 0.173)
Th (0.333, 0.667, 0.327)
Th (0.333, 0.667, 0.473)
Th (0.667, 0.333, 0.527)
Th (0.667, 0.333, 0.673)
Th (0.667, 0.333, 0.827)
Th (0.667, 0.333, 0.973)
Fe (0.000, 0.000, 0.000)
Fe (0.000, 0.000, 0.168)
Fe (0.000, 0.000, 0.332)
Fe (0.000, 0.000, 0.500)
Fe (0.000, 0.000, 0.668)
Fe (0.000, 0.000, 0.832)
Fe (0.166, 0.332, 0.586)
Fe (0.166, 0.332, 0.914)
Fe (0.166, 0.834, 0.586)
Fe (0.166, 0.834, 0.914)
Fe (0.167, 0.334, 0.750)
Fe (0.167, 0.833, 0.750)
Fe (0.332, 0.166, 0.086)
Fe (0.332, 0.166, 0.414)
Fe (0.333, 0.667, 0.668)
Fe (0.333, 0.667, 0.832)
Fe (0.334, 0.167, 0.250)
Fe (0.666, 0.833, 0.750)
Fe (0.667, 0.333, 0.168)
Fe (0.667, 0.333, 0.332)
Fe (0.668, 0.834, 0.586)
Fe (0.668, 0.834, 0.914)
Fe (0.833, 0.167, 0.250)
Fe (0.833, 0.666, 0.250)
Fe (0.834, 0.166, 0.086)
Fe (0.834, 0.166, 0.414)
Fe (0.834, 0.668, 0.086)
Fe (0.834, 0.668, 0.414)